The following is a simulated XRD peak list of AgGe2Pd7. It was derived from a crystal structure in Alexandria, relaxed with PBE, using Cu Ka.

Largest 10 diffraction maxima, sorted by position, 2θ = 10–90°:
d 3.469, 2θ 25.68, I = 10; d 2.881, 2θ 31.05, I = 10; d 2.767, 2θ 32.36, I = 12; d 2.492, 2θ 36.05, I = 16; d 2.482, 2θ 36.19, I = 10; d 2.173, 2θ 41.56, I = 100; d 2.037, 2θ 44.48, I = 50; d 1.575, 2θ 58.63, I = 10; d 1.440, 2θ 64.72, I = 16; d 1.201, 2θ 79.91, I = 28

Atomic structure:
a b c (Å): 10.3388 10.3388 10.3388
angles (deg): 157.28 157.28 32.36
Element x y z (fractional)
Ag1 0.0000 0.0000 0.0000
Ge1 0.3275 0.3275 0.0000
Ge2 0.6725 0.6725 0.0000
Pd1 0.1010 0.6010 0.5000
Pd2 0.2500 0.7500 0.5000
Pd3 0.3990 0.8990 0.5000
Pd4 0.5000 0.5000 0.0000
Pd5 0.6010 0.1010 0.5000
Pd6 0.7500 0.2500 0.5000
Pd7 0.8990 0.3990 0.5000